Structure and calculated X-ray powder pattern of CuI (a GGA-PBE-relaxed structure; Cu Kα (λ = 1.5418 Å)).
Peak positions follow from Bragg's law for the DFT cell and can differ from measured ones.

Crystal structure
```
8
Lattice="4.1679 0.0000 0.0000 -2.0839 3.6095 0.0000 0.0000 0.0000 15.2949" Properties=species:S:1:pos:R:3 pbc="T T T"
Cu 0.0000 0.0000 0.0000
Cu 0.0000 0.0000 7.6474
Cu 0.0000 2.4063 6.2411
Cu 2.0839 1.2032 13.8886
I 0.0000 0.0000 5.0376
I 0.0000 0.0000 12.6850
I 0.0000 2.4063 8.8540
I 2.0839 1.2032 1.2066
```

Top 10 peaks for 2θ = 10–80°, by angle:
2theta	d/Å	I (rel.)
11.6	7.647	37
23.3	3.824	21
25.4	3.513	58
27.3	3.264	40
34.2	2.625	14
38.6	2.334	21
43.4	2.083	100
49.8	1.830	16
63.1	1.473	17
79.7	1.203	24



Structure and calculated X-ray powder pattern of Cu2I5 (a GGA-PBE-relaxed structure; Cu Kα (λ = 1.5418 Å)).
Peak positions follow from Bragg's law for the DFT cell and can differ from measured ones.

Crystal structure
```
7
Lattice="-5.0733 5.0733 3.7280 5.0733 -5.0733 3.7280 5.0733 5.0733 -3.7280" Properties=species:S:1:pos:R:3 pbc="T T T"
Cu 5.0733 0.0000 1.8640
Cu 0.0000 5.0733 1.8640
I 0.0000 0.0000 0.0000
I 3.2822 0.0056 0.0000
I 5.0677 -1.7911 3.7280
I 0.0056 6.8644 0.0000
I 1.7911 5.0677 3.7280
```

Top 10 peaks for 2θ = 10–80°, by angle:
2theta	d/Å	I (rel.)
12.3	7.175	54
14.7	6.008	92
17.5	5.073	59
22.9	3.876	18
23.9	3.728	25
29.0	3.080	100
37.0	2.432	43
45.0	2.013	43
45.3	2.003	29
62.7	1.482	21



Structure and calculated X-ray powder pattern of CuI (a GGA-PBE-relaxed structure; Cu Kα (λ = 1.5418 Å)).
Peak positions follow from Bragg's law for the DFT cell and can differ from measured ones.

Crystal structure
```
12
Lattice="10.1165 0.0000 0.0000 -5.0583 8.7611 0.0000 0.0000 0.0000 4.2618" Properties=species:S:1:pos:R:3 pbc="T T T"
Cu -1.9849 3.8403 1.0654
Cu -0.7400 8.5600 1.0654
Cu 2.3333 3.6391 3.1963
Cu 2.7249 5.1220 1.0654
Cu 5.7983 0.2012 3.1963
Cu 7.0432 4.9209 3.1963
I -2.5065 6.3991 1.0654
I 0.7697 3.3909 1.0654
I 3.3214 1.0289 3.1963
I 1.7368 7.7322 1.0654
I 4.2886 5.3702 3.1963
I 7.5647 2.3620 3.1963
```

Top 10 peaks for 2θ = 10–80°, by angle:
2theta	d/Å	I (rel.)
10.1	8.761	34
17.5	5.058	78
23.2	3.832	42
26.9	3.311	54
29.2	3.055	56
37.0	2.430	23
42.4	2.131	22
42.8	2.111	100
47.6	1.912	19
50.2	1.818	28



Structure and calculated X-ray powder pattern of CuI2 (a GGA-PBE-relaxed structure; Cu Kα (λ = 1.5418 Å)).
Peak positions follow from Bragg's law for the DFT cell and can differ from measured ones.

Crystal structure
```
3
Lattice="5.2295 0.0000 0.0000 0.0000 5.2295 0.0000 0.0000 0.0000 4.8288" Properties=species:S:1:pos:R:3 pbc="T T T"
Cu 0.0000 0.0000 0.0000
I 0.0000 2.6148 0.0000
I 2.6148 0.0000 0.0000
```

Top 10 peaks for 2θ = 10–80°, by angle:
2theta	d/Å	I (rel.)
18.4	4.829	100
24.1	3.698	33
30.4	2.936	36
34.3	2.615	41
37.2	2.414	16
39.2	2.299	57
49.3	1.849	15
51.5	1.774	25
53.0	1.727	23
63.4	1.468	13



Structure and calculated X-ray powder pattern of In2CuI8 (a GGA-PBE-relaxed structure; Cu Kα (λ = 1.5418 Å)).
Peak positions follow from Bragg's law for the DFT cell and can differ from measured ones.

Crystal structure
```
11
Lattice="7.7761 -4.2193 0.0000 7.7761 4.2193 0.0000 -2.8586 0.0000 9.6341" Properties=species:S:1:pos:R:3 pbc="T T T"
In 2.5265 0.0000 3.0534
In 10.1670 0.0000 6.5807
Cu 0.0000 0.0000 0.0000
I 3.7286 2.3092 8.2312
I 1.4688 0.0000 5.5544
I 8.9649 2.3092 1.4029
I 5.1909 0.0000 2.7130
I 7.5026 0.0000 6.9211
I 3.7286 -2.3092 8.2312
I 11.2247 0.0000 4.0796
I 8.9649 -2.3092 1.4029
```

Top 10 peaks for 2θ = 10–80°, by angle:
2theta	d/Å	I (rel.)
12.8	6.926	100
14.1	6.280	63
18.9	4.701	56
20.5	4.323	48
23.0	3.865	59
24.7	3.604	42
27.2	3.282	78
31.2	2.870	33
35.1	2.555	39
44.3	2.045	53



Structure and calculated X-ray powder pattern of InCuI3 (a GGA-PBE-relaxed structure; Cu Kα (λ = 1.5418 Å)).
Peak positions follow from Bragg's law for the DFT cell and can differ from measured ones.

Crystal structure
```
10
Lattice="2.1657 -11.7976 0.0000 2.1657 11.7976 0.0000 0.0000 0.0000 7.4835" Properties=species:S:1:pos:R:3 pbc="T T T"
In 2.1657 7.9178 3.7418
In 2.1657 -7.9178 0.0000
Cu 2.1657 2.7922 3.1680
Cu 2.1657 -2.7922 6.9097
I 2.1657 10.1470 5.9230
I 2.1657 5.2233 2.0117
I 2.1657 2.4535 5.7295
I 2.1657 -2.4535 1.9877
I 2.1657 -5.2233 5.7534
I 2.1657 -10.1470 2.1813
```

Top 10 peaks for 2θ = 10–80°, by angle:
2theta	d/Å	I (rel.)
15.0	5.899	28
23.8	3.742	23
24.0	3.702	24
25.6	3.481	28
26.3	3.384	100
33.0	2.711	36
33.6	2.664	32
40.2	2.243	41
41.7	2.166	24
43.4	2.084	39



Structure and calculated X-ray powder pattern of Cu2IrPdI (a GGA-PBE-relaxed structure; Cu Kα (λ = 1.5418 Å)).
Peak positions follow from Bragg's law for the DFT cell and can differ from measured ones.

Crystal structure
```
5
Lattice="4.6039 0.0000 0.0000 0.0000 4.6039 0.0000 0.0000 0.0000 5.0355" Properties=species:S:1:pos:R:3 pbc="T T T"
Cu 0.0000 2.3020 0.0000
Cu 2.3020 0.0000 0.0000
Ir 0.0000 0.0000 2.5177
Pd 2.3020 2.3020 0.0000
I 2.3020 2.3020 2.5177
```

Top 10 peaks for 2θ = 10–80°, by angle:
2theta	d/Å	I (rel.)
26.2	3.398	44
27.4	3.255	54
32.8	2.734	100
35.7	2.518	53
39.1	2.302	82
45.5	1.992	27
54.0	1.699	63
56.5	1.628	27
66.9	1.399	25
68.7	1.367	30



Structure and calculated X-ray powder pattern of KCu2I6 (a GGA-PBE-relaxed structure; Cu Kα (λ = 1.5418 Å)).
Peak positions follow from Bragg's law for the DFT cell and can differ from measured ones.

Crystal structure
```
9
Lattice="3.4261 1.9780 10.1238 -3.4261 1.9780 10.1238 0.0000 -3.9561 10.1238" Properties=species:S:1:pos:R:3 pbc="T T T"
K 0.0000 0.0000 0.0000
Cu 0.0000 0.0000 17.4291
Cu 0.0000 0.0000 23.0675
I -2.1656 0.1480 12.9420
I -1.2109 -2.1544 17.4307
I 0.9547 -1.9495 12.9420
I -1.2603 2.1259 17.4307
I 1.2110 1.8015 12.9420
I 2.4713 0.0285 17.4307
```

Top 10 peaks for 2θ = 10–80°, by angle:
2theta	d/Å	I (rel.)
17.5	5.062	80
26.4	3.375	12
27.5	3.245	100
31.5	2.837	20
37.4	2.404	33
44.5	2.036	13
45.9	1.978	23
49.5	1.842	26
54.3	1.689	13
59.3	1.559	13



Structure and calculated X-ray powder pattern of K2CuI (a GGA-PBE-relaxed structure; Cu Kα (λ = 1.5418 Å)).
Peak positions follow from Bragg's law for the DFT cell and can differ from measured ones.

Crystal structure
```
4
Lattice="0.0000 4.1902 4.1902 4.1902 0.0000 4.1902 4.1902 4.1902 0.0000" Properties=species:S:1:pos:R:3 pbc="T T T"
K 2.0951 2.0951 2.0951
K 6.2853 6.2853 6.2853
Cu 0.0000 0.0000 0.0000
I 4.1902 4.1902 4.1902
```

Top 10 peaks for 2θ = 10–80°, by angle:
2theta	d/Å	I (rel.)
18.3	4.838	9
21.2	4.190	19
30.2	2.963	100
35.5	2.527	5
37.2	2.419	6
43.2	2.095	18
48.6	1.874	9
53.6	1.711	36
62.7	1.481	11
71.2	1.325	15



Structure and calculated X-ray powder pattern of KCuI2 (a GGA-PBE-relaxed structure; Cu Kα (λ = 1.5418 Å)).
Peak positions follow from Bragg's law for the DFT cell and can differ from measured ones.

Crystal structure
```
16
Lattice="7.2785 0.0000 0.0000 0.0000 11.4739 0.0000 0.0000 0.0000 7.1202" Properties=species:S:1:pos:R:3 pbc="T T T"
K 0.4428 1.4466 0.0000
K 3.1964 7.1836 3.5601
K 4.0820 4.2903 0.0000
K 6.8357 10.0272 3.5601
Cu 0.5676 4.3034 2.9034
Cu 3.0716 10.0403 6.4635
Cu 4.2069 1.4335 2.9034
Cu 6.7108 7.1705 6.4635
I 0.4125 4.8901 0.3476
I 0.6021 9.4671 0.0529
I 3.0371 3.7302 3.6130
I 3.2267 10.6270 3.9076
I 4.0518 0.8469 0.3476
I 4.2413 7.7437 0.0529
I 6.6763 2.0068 3.6130
I 6.8659 6.5838 3.9076
```

Top 10 peaks for 2θ = 10–80°, by angle:
2theta	d/Å	I (rel.)
14.4	6.146	41
14.6	6.050	49
19.7	4.506	42
23.4	3.807	64
24.5	3.639	62
25.0	3.560	100
26.5	3.369	39
27.5	3.240	56
40.4	2.234	43
41.3	2.186	39



Structure and calculated X-ray powder pattern of KCu2I4 (a GGA-PBE-relaxed structure; Cu Kα (λ = 1.5418 Å)).
Peak positions follow from Bragg's law for the DFT cell and can differ from measured ones.

Crystal structure
```
7
Lattice="-4.6713 4.6713 3.0201 4.6713 -4.6713 3.0201 4.6713 4.6713 -3.0201" Properties=species:S:1:pos:R:3 pbc="T T T"
K 0.0000 0.0000 0.0000
Cu 4.6713 0.0000 1.5100
Cu 0.0000 4.6713 1.5100
I 3.3045 1.6448 0.0000
I 3.0265 -1.3667 3.0201
I 1.6448 6.0380 0.0000
I 1.3667 3.0265 3.0201
```

Top 10 peaks for 2θ = 10–80°, by angle:
2theta	d/Å	I (rel.)
13.4	6.606	41
25.9	3.436	100
27.0	3.303	10
35.4	2.536	14
41.0	2.202	15
42.6	2.122	16
42.8	2.112	34
43.3	2.089	10
50.3	1.814	16
55.1	1.667	11



Structure and calculated X-ray powder pattern of KCuI2 (a GGA-PBE-relaxed structure; Cu Kα (λ = 1.5418 Å)).
Peak positions follow from Bragg's law for the DFT cell and can differ from measured ones.

Crystal structure
```
16
Lattice="10.4990 0.0000 0.0000 0.0000 4.3945 0.0000 0.0000 0.0000 13.2262" Properties=species:S:1:pos:R:3 pbc="T T T"
K 2.6052 1.0986 2.5696
K 2.6443 3.2959 9.1827
K 7.8547 1.0986 4.0434
K 7.8938 3.2959 10.6565
Cu 0.3860 3.2959 5.8076
Cu 4.8636 1.0986 12.4207
Cu 5.6355 3.2959 0.8055
Cu 10.1131 1.0986 7.4186
I 0.0515 1.0986 10.0428
I 1.9659 1.0986 6.2418
I 3.2836 3.2959 12.8549
I 5.1980 3.2959 3.4297
I 5.3010 1.0986 9.7964
I 7.2154 1.0986 0.3713
I 8.5331 3.2959 6.9844
I 10.4475 3.2959 3.1833
```

Top 10 peaks for 2θ = 10–80°, by angle:
2theta	d/Å	I (rel.)
10.8	8.223	100
21.6	4.112	34
22.9	3.876	25
27.0	3.307	30
27.3	3.265	91
29.9	2.984	29
41.1	2.197	24
42.4	2.133	20
42.9	2.109	21
43.5	2.081	35



Structure and calculated X-ray powder pattern of K2LiCu2I6 (a GGA-PBE-relaxed structure; Cu Kα (λ = 1.5418 Å)).
Peak positions follow from Bragg's law for the DFT cell and can differ from measured ones.

Crystal structure
```
11
Lattice="7.3906 -3.8654 0.0000 7.3906 3.8654 0.0000 -4.5242 0.0000 7.5843" Properties=species:S:1:pos:R:3 pbc="T T T"
K 2.3378 0.0000 1.5941
K 7.9192 0.0000 5.9902
Li -2.2621 0.0000 3.7922
Cu 3.2287 0.0000 5.6302
Cu 7.0283 0.0000 1.9541
I 5.5420 2.0000 1.5670
I 0.8824 0.0000 4.8055
I 4.7150 2.0000 6.0173
I 5.5420 -2.0000 1.5670
I 9.3746 0.0000 2.7788
I 4.7150 -2.0000 6.0173
```

Top 10 peaks for 2θ = 10–80°, by angle:
2theta	d/Å	I (rel.)
20.2	4.394	78
22.4	3.969	49
23.5	3.792	96
23.7	3.748	65
24.2	3.673	66
25.8	3.450	56
26.4	3.374	82
27.0	3.301	100
44.8	2.025	50
45.8	1.979	51



Structure and calculated X-ray powder pattern of KNpCu2I8 (a GGA-PBE-relaxed structure; Cu Kα (λ = 1.5418 Å)).
Peak positions follow from Bragg's law for the DFT cell and can differ from measured ones.

Crystal structure
```
12
Lattice="6.0937 -4.1755 0.0000 6.0937 4.1755 0.0000 -0.3946 0.0000 10.2935" Properties=species:S:1:pos:R:3 pbc="T T T"
K 0.0000 0.0000 0.0000
Np -0.1973 0.0000 5.1468
Cu 4.1063 0.0000 7.5212
Cu 7.6865 0.0000 2.7723
I 2.7671 0.0000 5.2766
I 5.9685 2.0579 3.0156
I 5.8244 2.0579 7.2779
I 3.1283 0.0000 9.8239
I 8.6646 0.0000 0.4696
I 5.9685 -2.0579 3.0156
I 5.8244 -2.0579 7.2779
I 9.0257 0.0000 5.0169
```

Top 10 peaks for 2θ = 10–80°, by angle:
2theta	d/Å	I (rel.)
15.3	5.782	69
17.2	5.154	32
23.0	3.859	27
24.4	3.651	33
25.9	3.443	59
27.5	3.243	100
29.3	3.044	45
34.9	2.574	28
40.1	2.247	39
41.2	2.193	60